Calculated X-ray powder pattern of YHoGaGe for Cu Kα X-rays, from DFT lattice parameters and positions (GGA-PBE).

Most intense lines, 15 to 90 degrees two-theta, low angle first:
| index | 2theta | I_rel |
| --- | --- | --- |
| 1 0 2 | 27.78 | 15 |
| 1 1 1 | 31.61 | 100 |
| 0 1 3 | 32.44 | 35 |
| 0 0 4 | 33.27 | 27 |
| 1 1 3 | 39.68 | 58 |
| 1 0 4 | 40.38 | 20 |
| 0 2 0 | 41.86 | 26 |
| 2 0 0 | 45.35 | 22 |
| 2 1 3 | 56.86 | 14 |
| 2 2 0 | 63.42 | 15 |

Atomic structure:
```
data_YHoGaGe
_chemical_formula_sum 'Y2 Ho2 Ga2 Ge2'
_cell_length_a 3.999
_cell_length_b 4.316
_cell_length_c 10.772
_cell_angle_alpha 90.00
_cell_angle_beta 90.00
_cell_angle_gamma 90.00
_space_group_name_H-M_alt 'A m m 2'
_space_group_IT_number 38
loop_
_space_group_symop_operation_xyz
'x,y,z'
'-x,-y,z'
'-x,y,z'
'x,-y,z'
'x,y+1/2,z+1/2'
'-x,-y+1/2,z+1/2'
'-x,y+1/2,z+1/2'
'x,-y+1/2,z+1/2'
loop_
_atom_site_label
_atom_site_fract_x
_atom_site_fract_y
_atom_site_fract_z
Y1 0.000 0.000 0.000
Ho1 0.500 0.000 0.720
Ga1 0.000 0.000 0.280
Ge1 0.500 0.000 0.439
```